Structure and theoretical powder diffractogram of CsSn (the GGA-PBE geometry in Alexandria; Cu Kα, 1.54184 Å).
Peak positions follow from Bragg's law for the DFT cell and can differ from measured ones.

Structural model:
```
data_CsSn
_chemical_formula_sum 'Cs32 Sn32'
_space_group_name_H-M_alt 'I 41/a c d'
_space_group_IT_number 142
_cell_length_a 12.3095
_cell_length_b 12.3095
_cell_length_c 20.1210
_cell_angle_alpha 90.00
_cell_angle_beta 90.00
_cell_angle_gamma 90.00
loop_
_space_group_symop_operation_xyz
'x,y,z'
'-x,-y,-z'
'-y+1/4,x+3/4,z+1/4'
'y+1/4,-x+3/4,-z+1/4'
'-x+1/2,-y,z+1/2'
'x+1/2,y,-z+1/2'
'y+1/4,-x+1/4,z+3/4'
'-y+1/4,x+1/4,-z+3/4'
'x,-y,-z+1/2'
'-x,y,z+1/2'
'-y+1/4,-x+1/4,-z+1/4'
'y+1/4,x+1/4,z+1/4'
'-x+1/2,y,-z'
'x+1/2,-y,z'
'y+1/4,x+3/4,-z+3/4'
'-y+1/4,-x+3/4,z+3/4'
'x+1/2,y+1/2,z+1/2'
'-x+1/2,-y+1/2,-z+1/2'
'-y+3/4,x+1/4,z+3/4'
'y+3/4,-x+1/4,-z+3/4'
'-x,-y+1/2,z'
'x,y+1/2,-z'
'y+3/4,-x+3/4,z+1/4'
'-y+3/4,x+3/4,-z+1/4'
'x+1/2,-y+1/2,-z'
'-x+1/2,y+1/2,z'
'-y+3/4,-x+3/4,-z+3/4'
'y+3/4,x+3/4,z+3/4'
'-x,y+1/2,-z+1/2'
'x,-y+1/2,z+1/2'
'y+3/4,x+1/4,-z+1/4'
'-y+3/4,-x+1/4,z+1/4'
loop_
_atom_site_label
_atom_site_type_symbol
_atom_site_fract_x
_atom_site_fract_y
_atom_site_fract_z
_atom_site_occupancy
Cs1 Cs 0.1205 0.1295 0.1250 1
Cs2 Cs 0.1408 0.0000 0.7500 1
Sn1 Sn 0.0616 0.1454 0.9279 1
```

Principal peaks in the range 2θ from 5° to 70°, in order of rising 2θ:
- 2θ = 13.5°, rel. 30.5
- 2θ = 26.5°, rel. 100.0
- 2θ = 27.5°, rel. 89.8
- 2θ = 29.0°, rel. 39.4
- 2θ = 30.4°, rel. 33.5
- 2θ = 51.1°, rel. 28.0

Structure and theoretical powder diffractogram of Al8Zn3 (the GGA-PBE geometry in Alexandria; Cu Kα, 1.54184 Å).
Peak positions follow from Bragg's law for the DFT cell and can differ from measured ones.

Structural model:
```
data_Al8Zn3
_chemical_formula_sum 'Al8 Zn3'
_space_group_name_H-M_alt 'P m -3 m'
_space_group_IT_number 221
_space_group_name_Hall '-P 4 2 3'
_cell_length_a 5.8934
_cell_length_b 5.8934
_cell_length_c 5.8934
_cell_angle_alpha 90.00
_cell_angle_beta 90.00
_cell_angle_gamma 90.00
loop_
_atom_site_label
_atom_site_type_symbol
_atom_site_fract_x
_atom_site_fract_y
_atom_site_fract_z
_atom_site_occupancy
Al1 Al 0.2355 0.2355 0.2355 1
Zn1 Zn 0.0000 0.5000 0.5000 1
```

Principal peaks in the range 2θ from 5° to 70°, in order of rising 2θ:
- 2θ = 21.3°, rel. 17.9
- 2θ = 26.2°, rel. 68.4
- 2θ = 34.0°, rel. 18.6
- 2θ = 43.4°, rel. 100.0
- 2θ = 51.4°, rel. 30.6
- 2θ = 63.1°, rel. 15.3

Structure and theoretical powder diffractogram of Na3Hg5Bi2 (the GGA-PBE geometry in Alexandria; Cu Kα, 1.54184 Å).
Peak positions follow from Bragg's law for the DFT cell and can differ from measured ones.

Structural model:
```
data_Na3Hg5Bi2
_chemical_formula_sum 'Na12 Hg20 Bi8'
_space_group_name_H-M_alt 'C 1 2/c 1'
_space_group_IT_number 15
_cell_length_a 10.3672
_cell_length_b 14.9133
_cell_length_c 7.1976
_cell_angle_alpha 90.00
_cell_angle_beta 97.66
_cell_angle_gamma 90.00
loop_
_space_group_symop_operation_xyz
'x,y,z'
'-x,-y,-z'
'-x,y,-z+1/2'
'x,-y,z+1/2'
'x+1/2,y+1/2,z'
'-x+1/2,-y+1/2,-z'
'-x+1/2,y+1/2,-z+1/2'
'x+1/2,-y+1/2,z+1/2'
loop_
_atom_site_label
_atom_site_type_symbol
_atom_site_fract_x
_atom_site_fract_y
_atom_site_fract_z
_atom_site_occupancy
Na1 Na 0.0000 0.0558 0.2500 1
Na2 Na 0.1435 0.3528 0.6099 1
Hg1 Hg 0.0000 0.4669 0.2500 1
Hg2 Hg 0.1186 0.1445 0.6415 1
Hg3 Hg 0.2455 0.0440 0.0089 1
Bi1 Bi 0.1214 0.2622 0.1231 1
```

Principal peaks in the range 2θ from 5° to 70°, in order of rising 2θ:
- 2θ = 17.2°, rel. 46.8
- 2θ = 31.0°, rel. 71.1
- 2θ = 32.4°, rel. 62.9
- 2θ = 32.8°, rel. 56.0
- 2θ = 34.2°, rel. 100.0
- 2θ = 37.0°, rel. 44.9

Structure and theoretical powder diffractogram of PaCoNiRh (the GGA-PBE geometry in Alexandria; Cu Kα, 1.54184 Å).
Peak positions follow from Bragg's law for the DFT cell and can differ from measured ones.

Structural model:
```
data_PaCoNiRh
_chemical_formula_sum 'Pa1 Co1 Ni1 Rh1'
_space_group_name_H-M_alt 'P m m m'
_space_group_IT_number 47
_cell_length_a 3.8424
_cell_length_b 3.8865
_cell_length_c 4.0275
_cell_angle_alpha 90.00
_cell_angle_beta 90.00
_cell_angle_gamma 90.00
loop_
_space_group_symop_operation_xyz
'x,y,z'
'-x,-y,-z'
'-x,-y,z'
'x,y,-z'
'x,-y,-z'
'-x,y,z'
'-x,y,-z'
'x,-y,z'
loop_
_atom_site_label
_atom_site_type_symbol
_atom_site_fract_x
_atom_site_fract_y
_atom_site_fract_z
_atom_site_occupancy
Pa1 Pa 0.0000 0.0000 0.0000 1
Co1 Co 0.5000 0.5000 0.0000 1
Ni1 Ni 0.0000 0.5000 0.5000 1
Rh1 Rh 0.5000 0.0000 0.5000 1
```

Principal peaks in the range 2θ from 5° to 70°, in order of rising 2θ:
- 2θ = 22.9°, rel. 20.2
- 2θ = 32.2°, rel. 17.4
- 2θ = 39.9°, rel. 100.0
- 2θ = 45.0°, rel. 17.7
- 2θ = 46.7°, rel. 15.8
- 2θ = 47.3°, rel. 15.3

Structure and theoretical powder diffractogram of Al2Ga13 (the GGA-PBE geometry in Alexandria; Cu Kα, 1.54184 Å).
Peak positions follow from Bragg's law for the DFT cell and can differ from measured ones.

Structural model:
```
data_Al2Ga13
_chemical_formula_sum 'Al6 Ga39'
_space_group_name_H-M_alt 'R -3 m'
_space_group_IT_number 166
_space_group_name_Hall '-R 3 2"'
_cell_length_a 7.4035
_cell_length_b 7.4035
_cell_length_c 21.5998
_cell_angle_alpha 90.00
_cell_angle_beta 90.00
_cell_angle_gamma 120.00
loop_
_atom_site_label
_atom_site_type_symbol
_atom_site_fract_x
_atom_site_fract_y
_atom_site_fract_z
_atom_site_occupancy
Al1 Al 0.0000 0.0000 0.2032 1
Ga1 Ga 0.0000 0.0000 0.0000 1
Ga2 Ga 0.0641 0.5321 0.5651 1
Ga3 Ga 0.0864 0.5432 0.3040 1
```

Principal peaks in the range 2θ from 5° to 70°, in order of rising 2θ:
- 2θ = 12.3°, rel. 79.3
- 2θ = 14.4°, rel. 87.2
- 2θ = 28.1°, rel. 74.5
- 2θ = 37.3°, rel. 70.0
- 2θ = 40.8°, rel. 100.0
- 2θ = 44.2°, rel. 73.5

Structure and theoretical powder diffractogram of Ba2PuF8 (the GGA-PBE geometry in Alexandria; Cu Kα, 1.54184 Å).
Peak positions follow from Bragg's law for the DFT cell and can differ from measured ones.

Structural model:
```
data_Ba2PuF8
_chemical_formula_sum 'Ba4 Pu2 F16'
_space_group_name_H-M_alt 'C 1 2/m 1'
_space_group_IT_number 12
_cell_length_a 16.1309
_cell_length_b 4.2386
_cell_length_c 5.6104
_cell_angle_alpha 90.00
_cell_angle_beta 108.27
_cell_angle_gamma 90.00
loop_
_space_group_symop_operation_xyz
'x,y,z'
'-x,-y,-z'
'-x,y,-z'
'x,-y,z'
'x+1/2,y+1/2,z'
'-x+1/2,-y+1/2,-z'
'-x+1/2,y+1/2,-z'
'x+1/2,-y+1/2,z'
loop_
_atom_site_label
_atom_site_type_symbol
_atom_site_fract_x
_atom_site_fract_y
_atom_site_fract_z
_atom_site_occupancy
Ba1 Ba 0.1705 0.0000 0.1746 1
Pu1 Pu 0.0000 0.5000 0.5000 1
F1 F 0.0134 0.0000 0.2977 1
F2 F 0.0893 0.5000 0.8805 1
F3 F 0.1235 0.5000 0.4206 1
F4 F 0.2265 0.0000 0.7620 1
```

Principal peaks in the range 2θ from 5° to 70°, in order of rising 2θ:
- 2θ = 23.1°, rel. 86.6
- 2θ = 24.0°, rel. 70.0
- 2θ = 26.4°, rel. 100.0
- 2θ = 27.3°, rel. 88.0
- 2θ = 42.0°, rel. 49.0
- 2θ = 43.0°, rel. 41.4

Structure and theoretical powder diffractogram of Pm12Co5Sb (the GGA-PBE geometry in Alexandria; Cu Kα, 1.54184 Å).
Peak positions follow from Bragg's law for the DFT cell and can differ from measured ones.

Structural model:
```
data_Pm12Co5Sb
_chemical_formula_sum 'Pm24 Co10 Sb2'
_space_group_name_H-M_alt 'I m m m'
_space_group_IT_number 71
_space_group_name_Hall '-I 2 2'
_cell_length_a 9.6901
_cell_length_b 9.7777
_cell_length_c 10.0815
_cell_angle_alpha 90.00
_cell_angle_beta 90.00
_cell_angle_gamma 90.00
loop_
_atom_site_label
_atom_site_type_symbol
_atom_site_fract_x
_atom_site_fract_y
_atom_site_fract_z
_atom_site_occupancy
Pm1 Pm 0.0000 0.1913 0.1994 1
Pm2 Pm 0.1925 0.5000 0.1866 1
Pm3 Pm 0.2027 0.3140 0.5000 1
Co1 Co 0.0000 0.0000 0.0000 1
Co2 Co 0.0000 0.3806 0.0000 1
Co3 Co 0.0000 0.5000 0.3888 1
Sb1 Sb 0.0000 0.0000 0.5000 1
```

Principal peaks in the range 2θ from 5° to 70°, in order of rising 2θ:
- 2θ = 28.1°, rel. 30.4
- 2θ = 29.1°, rel. 39.3
- 2θ = 31.5°, rel. 100.0
- 2θ = 33.7°, rel. 60.2
- 2θ = 34.0°, rel. 52.2
- 2θ = 34.4°, rel. 34.4

Structure and theoretical powder diffractogram of RbPa2NiS5 (the GGA-PBE geometry in Alexandria; Cu Kα, 1.54184 Å).
Peak positions follow from Bragg's law for the DFT cell and can differ from measured ones.

Structural model:
```
data_RbPa2NiS5
_chemical_formula_sum 'Rb4 Pa8 Ni4 S20'
_space_group_name_H-M_alt 'I 4/m c m'
_space_group_IT_number 140
_space_group_name_Hall '-I 4 2c'
_cell_length_a 7.6582
_cell_length_b 7.6582
_cell_length_c 13.1740
_cell_angle_alpha 90.00
_cell_angle_beta 90.00
_cell_angle_gamma 90.00
loop_
_atom_site_label
_atom_site_type_symbol
_atom_site_fract_x
_atom_site_fract_y
_atom_site_fract_z
_atom_site_occupancy
Rb1 Rb 0.0000 0.0000 0.2500 1
Pa1 Pa 0.1611 0.3389 0.0000 1
Ni1 Ni 0.0000 0.5000 0.2500 1
S1 S 0.0000 0.0000 0.0000 1
S2 S 0.1429 0.3571 0.3730 1
```

Principal peaks in the range 2θ from 5° to 70°, in order of rising 2θ:
- 2θ = 13.4°, rel. 53.8
- 2θ = 26.9°, rel. 100.0
- 2θ = 27.1°, rel. 25.2
- 2θ = 33.2°, rel. 93.4
- 2θ = 43.3°, rel. 46.7
- 2θ = 49.6°, rel. 24.1

Structure and theoretical powder diffractogram of TeO (the GGA-PBE geometry in Alexandria; Cu Kα, 1.54184 Å).
Peak positions follow from Bragg's law for the DFT cell and can differ from measured ones.

Structural model:
```
data_TeO
_chemical_formula_sum 'Te2 O2'
_space_group_name_H-M_alt 'P 1 21 1'
_space_group_IT_number 4
_cell_length_a 4.5948
_cell_length_b 4.1690
_cell_length_c 4.7271
_cell_angle_alpha 90.00
_cell_angle_beta 112.11
_cell_angle_gamma 90.00
loop_
_space_group_symop_operation_xyz
'x,y,z'
'-x,y+1/2,-z'
loop_
_atom_site_label
_atom_site_type_symbol
_atom_site_fract_x
_atom_site_fract_y
_atom_site_fract_z
_atom_site_occupancy
Te1 Te 0.1586 0.0000 0.3633 1
O1 O 0.4911 0.2297 0.7018 1
```

Principal peaks in the range 2θ from 5° to 70°, in order of rising 2θ:
- 2θ = 20.3°, rel. 76.3
- 2θ = 29.6°, rel. 69.0
- 2θ = 30.0°, rel. 83.2
- 2θ = 31.6°, rel. 100.0
- 2θ = 34.5°, rel. 36.1
- 2θ = 46.9°, rel. 32.8

Structure and theoretical powder diffractogram of TbTm7Sc3 (the GGA-PBE geometry in Alexandria; Cu Kα, 1.54184 Å).
Peak positions follow from Bragg's law for the DFT cell and can differ from measured ones.

Structural model:
```
data_TbTm7Sc3
_chemical_formula_sum 'Tb1 Tm7 Sc3'
_space_group_name_H-M_alt 'P 3 m 1'
_space_group_IT_number 156
_cell_length_a 6.8689
_cell_length_b 6.8689
_cell_length_c 8.1880
_cell_angle_alpha 90.00
_cell_angle_beta 90.00
_cell_angle_gamma 120.00
loop_
_space_group_symop_operation_xyz
'x,y,z'
'-y,x-y,z'
'-x+y,-x,z'
'-y,-x,z'
'-x+y,y,z'
'x,x-y,z'
loop_
_atom_site_label
_atom_site_type_symbol
_atom_site_fract_x
_atom_site_fract_y
_atom_site_fract_z
_atom_site_occupancy
Tb1 Tb 0.0000 0.0000 0.0000 1
Tm1 Tm 0.1653 0.3305 0.3420 1
Tm2 Tm 0.5014 0.0028 0.9929 1
Tm3 Tm 0.6667 0.3333 0.3354 1
Sc1 Sc 0.3343 0.1671 0.6667 1
```

Principal peaks in the range 2θ from 5° to 70°, in order of rising 2θ:
- 2θ = 10.8°, rel. 37.6
- 2θ = 32.0°, rel. 100.0
- 2θ = 32.8°, rel. 26.7
- 2θ = 37.4°, rel. 62.0
- 2θ = 54.4°, rel. 23.4
- 2θ = 64.1°, rel. 23.2

Please write out number 9 again, unchanged.
Structure and theoretical powder diffractogram of TeO (the GGA-PBE geometry in Alexandria; Cu Kα, 1.54184 Å).
Peak positions follow from Bragg's law for the DFT cell and can differ from measured ones.

Structural model:
```
data_TeO
_chemical_formula_sum 'Te2 O2'
_space_group_name_H-M_alt 'P 1 21 1'
_space_group_IT_number 4
_cell_length_a 4.5948
_cell_length_b 4.1690
_cell_length_c 4.7271
_cell_angle_alpha 90.00
_cell_angle_beta 112.11
_cell_angle_gamma 90.00
loop_
_space_group_symop_operation_xyz
'x,y,z'
'-x,y+1/2,-z'
loop_
_atom_site_label
_atom_site_type_symbol
_atom_site_fract_x
_atom_site_fract_y
_atom_site_fract_z
_atom_site_occupancy
Te1 Te 0.1586 0.0000 0.3633 1
O1 O 0.4911 0.2297 0.7018 1
```

Principal peaks in the range 2θ from 5° to 70°, in order of rising 2θ:
- 2θ = 20.3°, rel. 76.3
- 2θ = 29.6°, rel. 69.0
- 2θ = 30.0°, rel. 83.2
- 2θ = 31.6°, rel. 100.0
- 2θ = 34.5°, rel. 36.1
- 2θ = 46.9°, rel. 32.8